Entry 1:
Calculated powder X-ray diffraction pattern
Compound: Er2Ge5
Radiation: Cu Kα, 1.54184 Å
Structure: a DFT-relaxed cell (GGA-PBE, the Materials Project)
Neutral-atom scattering factors, no anomalous dispersion.

Largest 10 diffraction maxima, in order of rising 2θ, 10 to 90 degrees two-theta:
2θ (°)	I/Imax
24.68	23
33.28	15
34.26	29
35.09	100
36.89	15
37.49	53
41.47	18
44.82	27
46.26	25
66.38	17

Structure:
a = 3.925 Å, b = 4.044 Å, c = 18.320 Å
α = 90.00°, β = 90.00°, γ = 90.00°
Fractional coordinates of all 14 atoms:
1 Er 0.250 0.250 0.127
2 Er 0.250 0.750 0.691
3 Er 0.750 0.250 0.309
4 Er 0.750 0.750 0.873
5 Ge 0.250 0.250 0.432
6 Ge 0.250 0.250 0.569
7 Ge 0.250 0.250 0.830
8 Ge 0.250 0.750 0.003
9 Ge 0.250 0.750 0.262
10 Ge 0.750 0.250 0.738
11 Ge 0.750 0.250 0.997
12 Ge 0.750 0.750 0.170
13 Ge 0.750 0.750 0.431
14 Ge 0.750 0.750 0.568

***

Entry 2:
Calculated powder X-ray diffraction pattern
Compound: SiO2
Radiation: Cu Kα, 1.54184 Å
Structure: a DFT-relaxed cell (GGA-PBE, the Materials Project)
Neutral-atom scattering factors, no anomalous dispersion.

Largest 10 diffraction maxima, in order of rising 2θ, 10 to 90 degrees two-theta:
2θ (°)	I/Imax
11.26	100
14.25	82
14.68	62
17.11	23
17.49	30
20.84	15
28.28	23
28.74	23
29.62	16
35.01	12

Structure:
a = 7.952 Å, b = 7.952 Å, c = 10.143 Å
α = 90.00°, β = 90.00°, γ = 98.69°
Fractional coordinates of all 30 atoms:
1 Si 0.000 0.000 0.250
2 Si 0.000 0.000 0.750
3 Si 0.109 0.679 0.151
4 Si 0.109 0.679 0.849
5 Si 0.321 0.891 0.349
6 Si 0.321 0.891 0.651
7 Si 0.679 0.109 0.349
8 Si 0.679 0.109 0.651
9 Si 0.891 0.321 0.151
10 Si 0.891 0.321 0.849
11 O 0.000 0.500 0.199
12 O 0.000 0.500 0.801
13 O 0.010 0.170 0.159
14 O 0.010 0.170 0.841
15 O 0.170 0.010 0.341
16 O 0.170 0.010 0.659
17 O 0.175 0.661 0.000
18 O 0.272 0.728 0.250
19 O 0.272 0.728 0.750
20 O 0.339 0.825 0.500
21 O 0.500 0.000 0.301
22 O 0.500 0.000 0.699
23 O 0.661 0.175 0.500
24 O 0.728 0.272 0.250
25 O 0.728 0.272 0.750
26 O 0.825 0.339 0.000
27 O 0.830 0.990 0.341
28 O 0.830 0.990 0.659
29 O 0.990 0.830 0.159
30 O 0.990 0.830 0.841

***

Entry 3:
Calculated powder X-ray diffraction pattern
Compound: U2Ga9Rh3
Radiation: Cu Kα, 1.54184 Å
Structure: a DFT-relaxed cell (GGA-PBE, the Materials Project)
Neutral-atom scattering factors, no anomalous dispersion.

Largest 10 diffraction maxima, in order of rising 2θ, 10 to 90 degrees two-theta:
2θ (°)	I/Imax
25.19	18
30.06	26
36.92	100
37.25	17
37.94	18
40.90	63
41.10	27
56.39	12
63.72	13
71.79	12

Structure:
a = 7.619 Å, b = 7.619 Å, c = 9.485 Å
α = 90.00°, β = 90.00°, γ = 60.31°
Fractional coordinates of all 28 atoms:
1 U 0.002 0.670 0.750
2 U 0.330 0.998 0.750
3 U 0.670 0.002 0.250
4 U 0.998 0.330 0.250
5 Ga 0.001 0.665 0.078
6 Ga 0.001 0.665 0.422
7 Ga 0.127 0.873 0.250
8 Ga 0.333 0.667 0.565
9 Ga 0.333 0.667 0.935
10 Ga 0.335 0.999 0.078
11 Ga 0.335 0.999 0.422
12 Ga 0.338 0.455 0.250
13 Ga 0.455 0.338 0.750
14 Ga 0.545 0.662 0.250
15 Ga 0.662 0.545 0.750
16 Ga 0.665 0.001 0.578
17 Ga 0.665 0.001 0.922
18 Ga 0.667 0.333 0.065
19 Ga 0.667 0.333 0.435
20 Ga 0.873 0.127 0.750
21 Ga 0.999 0.335 0.578
22 Ga 0.999 0.335 0.922
23 Rh 0.000 0.000 0.000
24 Rh 0.000 0.000 0.500
25 Rh 0.329 0.329 0.000
26 Rh 0.329 0.329 0.500
27 Rh 0.671 0.671 0.000
28 Rh 0.671 0.671 0.500

***

Entry 4:
Calculated powder X-ray diffraction pattern
Compound: CaOs3
Radiation: Cu Kα, 1.54184 Å
Structure: a DFT-relaxed cell (GGA-PBE, the Materials Project)
Neutral-atom scattering factors, no anomalous dispersion.

Largest 10 diffraction maxima, in order of rising 2θ, 10 to 90 degrees two-theta:
2θ (°)	I/Imax
17.71	19
26.30	13
35.87	24
39.14	26
41.04	100
54.12	15
64.46	17
72.21	19
78.06	19
79.31	14

Structure:
a = 5.782 Å, b = 5.782 Å, c = 4.603 Å
α = 90.00°, β = 90.00°, γ = 120.00°
Fractional coordinates of all 8 atoms:
1 Ca 0.333 0.667 0.250
2 Ca 0.667 0.333 0.750
3 Os 0.157 0.314 0.750
4 Os 0.157 0.843 0.750
5 Os 0.314 0.157 0.250
6 Os 0.686 0.843 0.750
7 Os 0.843 0.157 0.250
8 Os 0.843 0.686 0.250

***

Entry 5:
Calculated powder X-ray diffraction pattern
Compound: PmLuTl2
Radiation: Cu Kα, 1.54184 Å
Structure: a DFT-relaxed cell (GGA-PBE, the Materials Project)
Neutral-atom scattering factors, no anomalous dispersion.

Largest 8 diffraction maxima, in order of rising 2θ, 10 to 90 degrees two-theta:
2θ (°)	I/Imax
23.35	1
33.25	100
47.74	18
53.80	1
59.42	39
69.82	12
79.56	17
89.00	4

Structure:
a = 7.620 Å, b = 7.620 Å, c = 7.620 Å
α = 90.00°, β = 90.00°, γ = 90.00°
Fractional coordinates of all 16 atoms:
1 Pm 0.000 0.000 0.000
2 Pm 0.000 0.500 0.500
3 Pm 0.500 0.000 0.500
4 Pm 0.500 0.500 0.000
5 Lu 0.000 0.000 0.500
6 Lu 0.000 0.500 0.000
7 Lu 0.500 0.000 0.000
8 Lu 0.500 0.500 0.500
9 Tl 0.250 0.250 0.250
10 Tl 0.250 0.250 0.750
11 Tl 0.250 0.750 0.250
12 Tl 0.250 0.750 0.750
13 Tl 0.750 0.250 0.250
14 Tl 0.750 0.250 0.750
15 Tl 0.750 0.750 0.250
16 Tl 0.750 0.750 0.750

***

Entry 6:
Calculated powder X-ray diffraction pattern
Compound: K2U3I4O20
Radiation: Cu Kα, 1.54184 Å
Structure: a DFT-relaxed cell (GGA-PBE, the Materials Project)
Neutral-atom scattering factors, no anomalous dispersion.

Largest 10 diffraction maxima, in order of rising 2θ, 10 to 90 degrees two-theta:
2θ (°)	I/Imax
10.99	88
15.16	100
23.33	42
24.67	72
25.36	47
28.18	43
28.42	43
28.79	48
29.49	44
44.71	43

Structure:
a = 7.078 Å, b = 8.060 Å, c = 9.231 Å
α = 92.01°, β = 105.38°, γ = 91.39°
Fractional coordinates of all 29 atoms:
1 K 0.249 0.400 0.159
2 K 0.751 0.600 0.841
3 U 0.050 0.916 0.192
4 U 0.500 0.000 0.000
5 U 0.950 0.084 0.808
6 I 0.205 0.651 0.560
7 I 0.378 0.206 0.624
8 I 0.622 0.794 0.376
9 I 0.795 0.349 0.440
10 O 0.030 0.701 0.115
11 O 0.069 0.810 0.438
12 O 0.074 0.129 0.274
13 O 0.151 0.472 0.425
14 O 0.191 0.012 0.013
15 O 0.274 0.094 0.765
16 O 0.390 0.893 0.289
17 O 0.412 0.408 0.722
18 O 0.455 0.786 0.922
19 O 0.457 0.715 0.557
20 O 0.543 0.285 0.443
21 O 0.545 0.214 0.078
22 O 0.588 0.592 0.278
23 O 0.610 0.107 0.711
24 O 0.726 0.906 0.235
25 O 0.809 0.988 0.987
26 O 0.849 0.528 0.575
27 O 0.926 0.871 0.726
28 O 0.931 0.190 0.562
29 O 0.970 0.299 0.885

***

Entry 7:
Calculated powder X-ray diffraction pattern
Compound: AuBr
Radiation: Cu Kα, 1.54184 Å
Structure: a DFT-relaxed cell (GGA-PBE, the Materials Project)
Neutral-atom scattering factors, no anomalous dispersion.

Largest 10 diffraction maxima, in order of rising 2θ, 10 to 90 degrees two-theta:
2θ (°)	I/Imax
15.22	88
25.57	20
28.34	84
30.72	100
39.74	53
44.71	25
48.63	28
52.54	31
53.17	23
58.63	33

Structure:
a = 7.490 Å, b = 7.490 Å, c = 9.249 Å
α = 90.00°, β = 90.00°, γ = 90.00°
Fractional coordinates of all 16 atoms:
1 Au 0.000 0.000 0.000
2 Au 0.000 0.500 0.000
3 Au 0.250 0.250 0.750
4 Au 0.250 0.750 0.250
5 Au 0.500 0.000 0.500
6 Au 0.500 0.500 0.500
7 Au 0.750 0.250 0.750
8 Au 0.750 0.750 0.250
9 Br 0.000 0.250 0.171
10 Br 0.000 0.250 0.579
11 Br 0.000 0.750 0.421
12 Br 0.000 0.750 0.829
13 Br 0.500 0.250 0.329
14 Br 0.500 0.250 0.921
15 Br 0.500 0.750 0.079
16 Br 0.500 0.750 0.671

***

Entry 8:
Calculated powder X-ray diffraction pattern
Compound: GeTePt
Radiation: Cu Kα, 1.54184 Å
Structure: a DFT-relaxed cell (GGA-PBE, the Materials Project)
Neutral-atom scattering factors, no anomalous dispersion.

Largest 10 diffraction maxima, in order of rising 2θ, 10 to 90 degrees two-theta:
2θ (°)	I/Imax
24.28	41
28.10	61
31.50	55
34.60	40
40.17	44
47.49	100
54.03	24
65.77	18
78.22	30
86.75	19

Structure:
a = 6.350 Å, b = 6.350 Å, c = 6.350 Å
α = 90.00°, β = 90.00°, γ = 90.00°
Fractional coordinates of all 12 atoms:
1 Ge 0.124 0.124 0.124
2 Ge 0.376 0.876 0.624
3 Ge 0.624 0.376 0.876
4 Ge 0.876 0.624 0.376
5 Te 0.121 0.379 0.621
6 Te 0.379 0.621 0.121
7 Te 0.621 0.121 0.379
8 Te 0.879 0.879 0.879
9 Pt 0.013 0.987 0.487
10 Pt 0.487 0.013 0.987
11 Pt 0.513 0.513 0.513
12 Pt 0.987 0.487 0.013